Computed XRD peak list of Li2V3CrO8 for CuKα, from a DFT-relaxed cell (PBE+U, the Materials Project).

Crystal structure
Unit cell a=5.9363 b=5.9363 c=10.2298 alpha=105.03 beta=105.03 gamma=60.89
Element x y z (fractional)
Li 0.0637 0.0637 0.1868
Li 0.4365 0.4365 0.3130
Li 0.5635 0.5635 0.6870
Li 0.9363 0.9363 0.8132
V 0.0000 0.0000 0.5000
V 0.0000 0.5000 0.0000
V 0.0000 0.5000 0.5000
V 0.5000 0.0000 0.0000
V 0.5000 0.0000 0.5000
V 0.5000 0.5000 0.0000
Cr 0.2493 0.2493 0.7494
Cr 0.7507 0.7507 0.2506
O 0.0925 0.6360 0.3829
O 0.1367 0.1367 0.3937
O 0.1366 0.5909 0.8825
O 0.1428 0.1428 0.8873
O 0.3564 0.3564 0.6130
O 0.3632 0.3632 0.1065
O 0.3640 0.9075 0.6171
O 0.4091 0.8634 0.1175
O 0.5909 0.1366 0.8825
O 0.6360 0.0925 0.3829
O 0.6368 0.6368 0.8935
O 0.6436 0.6436 0.3870
O 0.8572 0.8572 0.1127
O 0.8634 0.4091 0.1175
O 0.8633 0.8633 0.6063
O 0.9075 0.3640 0.6171

Principal peaks in the range 2θ = 10–80°, sorted by position:
2θ (°)  I_rel
18.2  100.0
34.9  15.8
35.0  15.0
35.9  14.7
42.4  39.9
43.9  17.7
56.0  7.0
56.1  6.1
61.7  6.0
62.6  22.1